Simulated X-ray powder pattern of Li4HfSnO6 for copper Kα, from a GGA-PBE-relaxed structure.

The 10 most intense peaks (2θ = 10–90°), in order of rising 2θ:
hkl 0 0 1, 2θ = 18.1°, d = 4.896 Å, I = 100; hkl 0 2 0, 2θ = 19.3°, d = 4.588 Å, I = 24; hkl 1 1 0, 2θ = 20.2°, d = 4.387 Å, I = 43; hkl 1 1 -1, 2θ = 22.8°, d = 3.905 Å, I = 32; hkl 0 2 1, 2θ = 26.6°, d = 3.348 Å, I = 22; hkl 1 3 0, 2θ = 34.4°, d = 2.608 Å, I = 39; hkl 2 0 0, 2θ = 36.0°, d = 2.496 Å, I = 31; hkl 2 0 -2, 2θ = 41.9°, d = 2.158 Å, I = 30; hkl 1 3 1, 2θ = 42.1°, d = 2.148 Å, I = 47; hkl 2 0 1, 2θ = 46.1°, d = 1.969 Å, I = 25

Structural model:
```
data_Li4HfSnO6
_cell_length_a 5.3182
_cell_length_b 9.1763
_cell_length_c 5.2129
_cell_angle_alpha 90.00
_cell_angle_beta 110.09
_cell_angle_gamma 90.00
_symmetry_space_group_name_H-M 'C 1 2 1'
_symmetry_Int_Tables_number 5
loop_
_symmetry_equiv_pos_as_xyz
'x,y,z'
'-x,y,-z'
'x+1/2,y+1/2,z'
'-x+1/2,y+1/2,-z'
loop_
_atom_site_label
_atom_site_fract_x
_atom_site_fract_y
_atom_site_fract_z
Li1 0.0000 0.0000 0.0000
Li2 0.0000 0.1534 0.5000
Li3 0.0000 0.3107 0.0000
Li4 0.0000 0.6481 0.0000
Hf1 0.0000 0.8207 0.5000
Sn1 0.0000 0.4860 0.5000
O1 0.2313 0.6533 0.7416
O2 0.2460 0.4796 0.2627
O3 0.2457 0.8269 0.2623
```

=====

Simulated X-ray powder pattern of Li2HfScTl2Pt2 for copper Kα, from a GGA-PBE-relaxed structure.

The 10 most intense peaks (2θ = 10–90°), in order of rising 2θ:
hkl 1 0 1, 2θ = 23.4°, d = 3.801 Å, I = 40; hkl 0 0 2, 2θ = 27.1°, d = 3.292 Å, I = 6; hkl 2 0 0, 2θ = 38.7°, d = 2.328 Å, I = 100; hkl 2 1 1, 2θ = 45.7°, d = 1.985 Å, I = 21; hkl 2 2 0, 2θ = 55.8°, d = 1.647 Å, I = 12; hkl 0 0 4, 2θ = 55.9°, d = 1.644 Å, I = 6; hkl 3 0 1, 2θ = 61.4°, d = 1.511 Å, I = 9; hkl 3 1 2, 2θ = 70.0°, d = 1.344 Å, I = 35; hkl 3 2 1, 2θ = 74.9°, d = 1.268 Å, I = 5; hkl 2 2 4, 2θ = 83.0°, d = 1.163 Å, I = 7

Structural model:
```
data_Li2HfScTl2Pt2
_cell_length_a 4.6591
_cell_length_b 4.6591
_cell_length_c 6.5745
_cell_angle_alpha 90.00
_cell_angle_beta 90.00
_cell_angle_gamma 90.00
_symmetry_space_group_name_H-M 'P -4 m 2'
_symmetry_Int_Tables_number 115
loop_
_symmetry_equiv_pos_as_xyz
'x,y,z'
'y,-x,-z'
'-x,-y,z'
'-y,x,-z'
'-x,y,z'
'-y,-x,-z'
'x,-y,z'
'y,x,-z'
loop_
_atom_site_label
_atom_site_fract_x
_atom_site_fract_y
_atom_site_fract_z
Li1 0.0000 0.5000 0.2472
Hf1 0.0000 0.0000 0.5000
Sc1 0.5000 0.5000 0.0000
Tl1 0.0000 0.0000 0.0000
Tl2 0.5000 0.5000 0.5000
Pt1 0.0000 0.5000 0.7417
```

=====

Simulated X-ray powder pattern of RbLiHfS3 for copper Kα, from a GGA-PBE-relaxed structure.

The 10 most intense peaks (2θ = 10–90°), in order of rising 2θ:
hkl 1 0 1, 2θ = 10.5°, d = 8.423 Å, I = 96; hkl 2 0 0, 2θ = 11.9°, d = 7.415 Å, I = 100; hkl 2 0 2, 2θ = 21.1°, d = 4.212 Å, I = 73; hkl 0 1 1, 2θ = 24.9°, d = 3.576 Å, I = 38; hkl 1 0 3, 2θ = 26.8°, d = 3.325 Å, I = 42; hkl 2 1 1, 2θ = 27.7°, d = 3.221 Å, I = 60; hkl 3 1 1, 2θ = 30.9°, d = 2.898 Å, I = 55; hkl 3 1 2, 2θ = 34.5°, d = 2.602 Å, I = 47; hkl 4 1 1, 2θ = 34.9°, d = 2.574 Å, I = 58; hkl 2 1 5, 2θ = 52.2°, d = 1.753 Å, I = 38

Structural model:
```
data_RbLiHfS3
_cell_length_a 14.8293
_cell_length_b 3.8169
_cell_length_c 10.2349
_cell_angle_alpha 90.00
_cell_angle_beta 90.00
_cell_angle_gamma 90.00
_symmetry_space_group_name_H-M 'P n m a'
_symmetry_Int_Tables_number 62
loop_
_symmetry_equiv_pos_as_xyz
'x,y,z'
'-x,-y,-z'
'-x+1/2,-y,z+1/2'
'x+1/2,y,-z+1/2'
'x+1/2,-y+1/2,-z+1/2'
'-x+1/2,y+1/2,z+1/2'
'-x,y+1/2,-z'
'x,-y+1/2,z'
loop_
_atom_site_label
_atom_site_fract_x
_atom_site_fract_y
_atom_site_fract_z
Rb1 0.2308 0.2500 0.0243
Li1 0.0145 0.7500 0.0903
Hf1 0.0123 0.2500 0.3348
S1 0.0752 0.7500 0.8688
S2 0.0866 0.2500 0.5680
S3 0.1183 0.7500 0.2668
```

=====

Simulated X-ray powder pattern of LiHf4S8 for copper Kα, from a GGA-PBE-relaxed structure.

The 10 most intense peaks (2θ = 10–90°), in order of rising 2θ:
hkl 1 1 1, 2θ = 14.7°, d = 6.024 Å, I = 100; hkl 3 1 1, 2θ = 28.4°, d = 3.146 Å, I = 60; hkl 2 2 2, 2θ = 29.7°, d = 3.012 Å, I = 27; hkl 4 0 0, 2θ = 34.4°, d = 2.608 Å, I = 68; hkl 3 3 1, 2θ = 37.6°, d = 2.394 Å, I = 25; hkl 5 1 1, 2θ = 45.2°, d = 2.008 Å, I = 26; hkl 4 4 0, 2θ = 49.4°, d = 1.844 Å, I = 48; hkl 5 3 1, 2θ = 51.8°, d = 1.764 Å, I = 24; hkl 4 4 4, 2θ = 61.6°, d = 1.506 Å, I = 16; hkl 8 4 0, 2θ = 82.7°, d = 1.167 Å, I = 21

Structural model:
```
data_LiHf4S8
_cell_length_a 10.4337
_cell_length_b 10.4337
_cell_length_c 10.4337
_cell_angle_alpha 90.00
_cell_angle_beta 90.00
_cell_angle_gamma 90.00
_symmetry_space_group_name_H-M 'F -4 3 m'
_symmetry_Int_Tables_number 216
_symmetry_space_group_name_Hall 'F -4 2 3'
loop_
_atom_site_label
_atom_site_fract_x
_atom_site_fract_y
_atom_site_fract_z
Li1 0.0000 0.0000 0.0000
Hf1 0.1222 0.1222 0.3778
S1 0.1212 0.1212 0.6212
S2 0.1312 0.1312 0.1312
```

=====

Simulated X-ray powder pattern of Li2HfZr for copper Kα, from a GGA-PBE-relaxed structure.

The 10 most intense peaks (2θ = 10–90°), in order of rising 2θ:
hkl 1 1 1, 2θ = 22.6°, d = 3.932 Å, I = 100; hkl 2 0 0, 2θ = 26.2°, d = 3.405 Å, I = 9; hkl 2 2 0, 2θ = 37.3°, d = 2.408 Å, I = 87; hkl 3 1 1, 2θ = 44.1°, d = 2.054 Å, I = 52; hkl 4 0 0, 2θ = 53.8°, d = 1.703 Å, I = 15; hkl 3 3 1, 2θ = 59.1°, d = 1.563 Å, I = 22; hkl 4 2 2, 2θ = 67.4°, d = 1.390 Å, I = 31; hkl 5 1 1, 2θ = 72.1°, d = 1.311 Å, I = 16; hkl 4 4 0, 2θ = 79.6°, d = 1.204 Å, I = 10; hkl 5 3 1, 2θ = 84.1°, d = 1.151 Å, I = 16

Structural model:
```
data_Li2HfZr
_cell_length_a 6.8109
_cell_length_b 6.8109
_cell_length_c 6.8109
_cell_angle_alpha 90.00
_cell_angle_beta 90.00
_cell_angle_gamma 90.00
_symmetry_space_group_name_H-M 'F -4 3 m'
_symmetry_Int_Tables_number 216
_symmetry_space_group_name_Hall 'F -4 2 3'
loop_
_atom_site_label
_atom_site_fract_x
_atom_site_fract_y
_atom_site_fract_z
Li1 0.0000 0.0000 0.0000
Li2 0.2500 0.2500 0.2500
Hf1 0.2500 0.2500 0.7500
Zr1 0.0000 0.0000 0.5000
```

=====

Simulated X-ray powder pattern of LuHf for copper Kα, from a GGA-PBE-relaxed structure.

The 10 most intense peaks (2θ = 10–90°), in order of rising 2θ:
hkl 1 0 0, 2θ = 31.0°, d = 2.885 Å, I = 24; hkl 0 0 2, 2θ = 34.3°, d = 2.612 Å, I = 24; hkl 1 0 1, 2θ = 35.5°, d = 2.526 Å, I = 100; hkl 1 0 2, 2θ = 46.9°, d = 1.936 Å, I = 15; hkl 1 1 0, 2θ = 55.1°, d = 1.666 Å, I = 19; hkl 1 0 3, 2θ = 62.3°, d = 1.491 Å, I = 20; hkl 1 1 2, 2θ = 66.6°, d = 1.404 Å, I = 22; hkl 2 0 1, 2θ = 67.3°, d = 1.391 Å, I = 16; hkl 2 0 2, 2θ = 75.3°, d = 1.263 Å, I = 4; hkl 2 0 3, 2θ = 87.9°, d = 1.111 Å, I = 8

Structural model:
```
data_LuHf
_cell_length_a 3.3315
_cell_length_b 3.3315
_cell_length_c 5.2236
_cell_angle_alpha 90.00
_cell_angle_beta 90.00
_cell_angle_gamma 120.00
_symmetry_space_group_name_H-M 'P -6 m 2'
_symmetry_Int_Tables_number 187
_symmetry_space_group_name_Hall 'P -6 2'
loop_
_atom_site_label
_atom_site_fract_x
_atom_site_fract_y
_atom_site_fract_z
Lu1 0.0000 0.0000 0.0000
Hf1 0.3333 0.6667 0.5000
```

=====

Simulated X-ray powder pattern of LuHfNO for copper Kα, from a GGA-PBE-relaxed structure.

The 10 most intense peaks (2θ = 10–90°), in order of rising 2θ:
hkl 2 1 0, 2θ = 27.1°, d = 3.294 Å, I = 33; hkl 0 2 0, 2θ = 27.8°, d = 3.213 Å, I = 23; hkl 2 1 1, 2θ = 33.5°, d = 2.676 Å, I = 100; hkl 0 2 1, 2θ = 34.1°, d = 2.632 Å, I = 36; hkl 0 0 2, 2θ = 39.3°, d = 2.295 Å, I = 29; hkl 4 0 0, 2θ = 47.4°, d = 1.918 Å, I = 16; hkl 2 1 2, 2θ = 48.3°, d = 1.883 Å, I = 17; hkl 2 3 0, 2θ = 48.7°, d = 1.869 Å, I = 36; hkl 4 2 1, 2θ = 59.6°, d = 1.550 Å, I = 16; hkl 2 3 2, 2θ = 64.3°, d = 1.450 Å, I = 22

Structural model:
```
data_LuHfNO
_cell_length_a 7.6729
_cell_length_b 6.4251
_cell_length_c 4.5897
_cell_angle_alpha 90.00
_cell_angle_beta 90.00
_cell_angle_gamma 90.00
_symmetry_space_group_name_H-M 'P b c m'
_symmetry_Int_Tables_number 57
loop_
_symmetry_equiv_pos_as_xyz
'x,y,z'
'-x,-y,-z'
'-x,-y,z+1/2'
'x,y,-z+1/2'
'x,-y+1/2,-z'
'-x,y+1/2,z'
'-x,y+1/2,-z+1/2'
'x,-y+1/2,z+1/2'
loop_
_atom_site_label
_atom_site_fract_x
_atom_site_fract_y
_atom_site_fract_z
Lu1 0.1206 0.0549 0.2500
Hf1 0.3695 0.5953 0.2500
N1 0.3929 0.5716 0.7500
O1 0.1487 0.1028 0.7500
```

=====

Simulated X-ray powder pattern of Lu4Hf2Pb3N3 for copper Kα, from a GGA-PBE-relaxed structure.

The 10 most intense peaks (2θ = 10–90°), in order of rising 2θ:
hkl 0 2 0, 2θ = 30.2°, d = 2.958 Å, I = 23; hkl 3 1 -4, 2θ = 35.3°, d = 2.542 Å, I = 100; hkl 0 0 6, 2θ = 36.1°, d = 2.488 Å, I = 20; hkl 0 2 6, 2θ = 47.8°, d = 1.904 Å, I = 15; hkl 6 0 -2, 2θ = 53.7°, d = 1.708 Å, I = 21; hkl 3 1 -10, 2θ = 64.4°, d = 1.447 Å, I = 17; hkl 0 4 3, 2θ = 65.9°, d = 1.418 Å, I = 11; hkl 3 3 -7, 2θ = 66.4°, d = 1.409 Å, I = 7; hkl 6 0 -8, 2θ = 66.4°, d = 1.408 Å, I = 10; hkl 6 4 -5, 2θ = 89.9°, d = 1.091 Å, I = 10

Structural model:
```
data_Lu4Hf2Pb3N3
_cell_length_a 10.2388
_cell_length_b 5.9195
_cell_length_c 15.3177
_cell_angle_alpha 90.00
_cell_angle_beta 102.97
_cell_angle_gamma 90.00
_symmetry_space_group_name_H-M 'C 1 2/c 1'
_symmetry_Int_Tables_number 15
loop_
_symmetry_equiv_pos_as_xyz
'x,y,z'
'-x,-y,-z'
'-x,y,-z+1/2'
'x,-y,z+1/2'
'x+1/2,y+1/2,z'
'-x+1/2,-y+1/2,-z'
'-x+1/2,y+1/2,-z+1/2'
'x+1/2,-y+1/2,z+1/2'
loop_
_atom_site_label
_atom_site_fract_x
_atom_site_fract_y
_atom_site_fract_z
Lu1 0.1120 0.0785 0.0843
Lu2 0.2191 0.0861 0.4157
Hf1 0.0594 0.4145 0.9228
Pb1 0.0000 0.0953 0.7500
Pb2 0.1596 0.4249 0.2486
N1 0.0803 0.2583 0.5000
N2 0.2500 0.2500 0.0000
```

=====

Simulated X-ray powder pattern of LuHfSc2Sb2 for copper Kα, from a GGA-PBE-relaxed structure.

The 10 most intense peaks (2θ = 10–90°), in order of rising 2θ:
hkl 0 0 2, 2θ = 11.1°, d = 7.983 Å, I = 44; hkl 1 1 0, 2θ = 30.2°, d = 2.955 Å, I = 100; hkl 1 1 2, 2θ = 32.3°, d = 2.771 Å, I = 76; hkl 0 0 6, 2θ = 33.7°, d = 2.661 Å, I = 39; hkl 1 0 5, 2θ = 35.4°, d = 2.537 Å, I = 71; hkl 1 1 4, 2θ = 37.9°, d = 2.375 Å, I = 74; hkl 2 0 0, 2θ = 43.3°, d = 2.090 Å, I = 69; hkl 2 0 6, 2θ = 56.0°, d = 1.643 Å, I = 36; hkl 2 1 5, 2θ = 57.1°, d = 1.613 Å, I = 36; hkl 2 1 11, 2θ = 84.5°, d = 1.146 Å, I = 29

Structural model:
```
data_LuHfSc2Sb2
_cell_length_a 4.1790
_cell_length_b 4.1790
_cell_length_c 15.9668
_cell_angle_alpha 90.00
_cell_angle_beta 90.00
_cell_angle_gamma 90.00
_symmetry_space_group_name_H-M 'I 4 m m'
_symmetry_Int_Tables_number 107
_symmetry_space_group_name_Hall 'I 4 -2'
loop_
_atom_site_label
_atom_site_fract_x
_atom_site_fract_y
_atom_site_fract_z
Lu1 0.0000 0.0000 0.0000
Hf1 0.0000 0.0000 0.6458
Sc1 0.0000 0.5000 0.3183
Sb1 0.0000 0.0000 0.1851
Sb2 0.0000 0.0000 0.4566
```

=====

Simulated X-ray powder pattern of LuHf2Sc for copper Kα, from a GGA-PBE-relaxed structure.

The 10 most intense peaks (2θ = 10–90°), in order of rising 2θ:
hkl 1 1 1, 2θ = 21.2°, d = 4.188 Å, I = 12; hkl 2 0 0, 2θ = 24.5°, d = 3.627 Å, I = 6; hkl 2 2 0, 2θ = 35.0°, d = 2.565 Å, I = 100; hkl 3 1 1, 2θ = 41.3°, d = 2.187 Å, I = 7; hkl 4 0 0, 2θ = 50.3°, d = 1.814 Å, I = 18; hkl 3 3 1, 2θ = 55.2°, d = 1.664 Å, I = 3; hkl 4 2 0, 2θ = 56.8°, d = 1.622 Å, I = 3; hkl 4 2 2, 2θ = 62.7°, d = 1.481 Å, I = 37; hkl 4 4 0, 2θ = 73.9°, d = 1.282 Å, I = 11; hkl 6 2 0, 2θ = 84.5°, d = 1.147 Å, I = 16

Structural model:
```
data_LuHf2Sc
_cell_length_a 7.2542
_cell_length_b 7.2542
_cell_length_c 7.2542
_cell_angle_alpha 90.00
_cell_angle_beta 90.00
_cell_angle_gamma 90.00
_symmetry_space_group_name_H-M 'F -4 3 m'
_symmetry_Int_Tables_number 216
_symmetry_space_group_name_Hall 'F -4 2 3'
loop_
_atom_site_label
_atom_site_fract_x
_atom_site_fract_y
_atom_site_fract_z
Lu1 0.0000 0.0000 0.0000
Hf1 0.0000 0.0000 0.5000
Hf2 0.2500 0.2500 0.2500
Sc1 0.2500 0.2500 0.7500
```

=====

Simulated X-ray powder pattern of LuHf2Si for copper Kα, from a GGA-PBE-relaxed structure.

The 10 most intense peaks (2θ = 10–90°), in order of rising 2θ:
hkl 1 1 1, 2θ = 22.3°, d = 3.984 Å, I = 16; hkl 2 0 0, 2θ = 25.8°, d = 3.450 Å, I = 8; hkl 2 2 0, 2θ = 36.8°, d = 2.439 Å, I = 100; hkl 3 1 1, 2θ = 43.5°, d = 2.080 Å, I = 9; hkl 4 0 0, 2θ = 53.1°, d = 1.725 Å, I = 18; hkl 3 3 1, 2θ = 58.3°, d = 1.583 Å, I = 4; hkl 4 2 0, 2θ = 60.0°, d = 1.543 Å, I = 3; hkl 4 2 2, 2θ = 66.4°, d = 1.408 Å, I = 36; hkl 4 4 0, 2θ = 78.4°, d = 1.220 Å, I = 11; hkl 6 2 0, 2θ = 89.9°, d = 1.091 Å, I = 17

Structural model:
```
data_LuHf2Si
_cell_length_a 6.8998
_cell_length_b 6.8998
_cell_length_c 6.8998
_cell_angle_alpha 90.00
_cell_angle_beta 90.00
_cell_angle_gamma 90.00
_symmetry_space_group_name_H-M 'F -4 3 m'
_symmetry_Int_Tables_number 216
_symmetry_space_group_name_Hall 'F -4 2 3'
loop_
_atom_site_label
_atom_site_fract_x
_atom_site_fract_y
_atom_site_fract_z
Lu1 0.0000 0.0000 0.0000
Hf1 0.0000 0.0000 0.5000
Hf2 0.2500 0.2500 0.2500
Si1 0.2500 0.2500 0.7500
```

=====

Simulated X-ray powder pattern of SmLuHf for copper Kα, from a GGA-PBE-relaxed structure.

The 10 most intense peaks (2θ = 10–90°), in order of rising 2θ:
hkl 1 1 1, 2θ = 21.0°, d = 4.234 Å, I = 30; hkl 2 0 0, 2θ = 24.3°, d = 3.667 Å, I = 11; hkl 2 2 0, 2θ = 34.6°, d = 2.593 Å, I = 100; hkl 3 1 1, 2θ = 40.8°, d = 2.211 Å, I = 16; hkl 4 0 0, 2θ = 49.7°, d = 1.833 Å, I = 18; hkl 3 3 1, 2θ = 54.5°, d = 1.683 Å, I = 7; hkl 4 2 2, 2θ = 62.0°, d = 1.497 Å, I = 37; hkl 5 1 1, 2θ = 66.2°, d = 1.411 Å, I = 5; hkl 4 4 0, 2θ = 73.0°, d = 1.296 Å, I = 12; hkl 6 2 0, 2θ = 83.3°, d = 1.160 Å, I = 17

Structural model:
```
data_SmLuHf
_cell_length_a 7.3339
_cell_length_b 7.3339
_cell_length_c 7.3339
_cell_angle_alpha 90.00
_cell_angle_beta 90.00
_cell_angle_gamma 90.00
_symmetry_space_group_name_H-M 'F -4 3 m'
_symmetry_Int_Tables_number 216
_symmetry_space_group_name_Hall 'F -4 2 3'
loop_
_atom_site_label
_atom_site_fract_x
_atom_site_fract_y
_atom_site_fract_z
Sm1 0.0000 0.0000 0.0000
Lu1 0.0000 0.0000 0.5000
Hf1 0.2500 0.2500 0.7500
```